[1]
Diffraction record for Er3Fe6CoNi2. The X-ray powder pattern is calculated, not measured: it uses a PBE-relaxed structure and Cu Kα (weighted mean of Kα1 and Kα2).
Intensities are scaled so that the largest is 100.

Crystal structure
a b c (Å): 4.9813 4.9813 24.5369
angles (deg): 90.00 90.00 120.00
Space group R-3m (No. 166, hexagonal axes)
One atom of each set of equivalent atoms:
Er1 0.0000 0.0000 0.0000
Er2 0.0000 0.0000 0.1419
Fe1 0.0007 0.5004 0.9176
Co1 0.0000 0.0000 0.5000
Ni1 0.0000 0.0000 0.3328

The 10 most intense peaks (2θ from 10° to 80°), low angle first:
2θ/deg	Rel. int.
20.9	12
32.9	49
35.9	32
36.1	53
42.1	32
42.5	100
62.9	15
64.8	21
69.3	22
76.5	18


[2]
Diffraction record for Er3Fe6Co2Ni. The X-ray powder pattern is calculated, not measured: it uses a PBE-relaxed structure and Cu Kα (weighted mean of Kα1 and Kα2).
Intensities are scaled so that the largest is 100.

Crystal structure
a b c (Å): 4.9988 4.9988 24.4439
angles (deg): 90.00 90.00 120.00
Space group R-3m (No. 166, hexagonal axes)
One atom of each set of equivalent atoms:
Er1 0.0000 0.0000 0.0000
Er2 0.0000 0.0000 0.1420
Fe1 0.0018 0.5009 0.9185
Co1 0.0000 0.0000 0.3330
Ni1 0.0000 0.0000 0.5000

The 10 most intense peaks (2θ from 10° to 80°), low angle first:
2θ/deg	Rel. int.
33.0	46
35.9	84
41.9	32
42.4	100
44.4	18
45.9	19
62.7	15
64.6	21
69.1	33
76.2	18